No. 1
# KAgBr3
Theoretical XRD peak list, CuKα. Input: a structure optimized by DFT (PBE).

Principal peaks in the range 2θ = 5–70°, in order of rising 2θ:
| d/Å | Position (°2θ) | I (rel.) | hkl |
| --- | --- | --- | --- |
| 5.418 | 16.36 | 82.5 | 0 0 1 |
| 3.831 | 23.22 | 16.2 | 1 1 0 |
| 3.128 | 28.54 | 38.0 | 1 1 1 |
| 2.709 | 33.07 | 100.0 | 2 0 0 |
| 2.423 | 37.11 | 43.6 | 1 0 2 |
| 2.212 | 40.80 | 6.9 | 2 1 1 |
| 1.915 | 47.46 | 69.6 | 2 2 0 |
| 1.806 | 50.54 | 22.2 | 0 0 3 |
| 1.634 | 56.32 | 15.6 | 3 1 1 |
| 1.564 | 59.06 | 23.5 | 2 2 2 |
| 1.503 | 61.73 | 9.7 | 2 0 3 |
| 1.354 | 69.38 | 10.8 | 4 0 0 |

Atomic structure:
abc: 5.4182 5.4182 5.4171
angles: 90.00 90.00 90.00
Space group P4mm (No. 99)
Symmetry-distinct sites (fractional):
K (0.0000, 0.0000, 0.0000) x1
Ag (0.5000, 0.5000, 0.5133) x1
Br (0.0000, 0.5000, 0.5143) x2
Br (0.5000, 0.5000, 0.0133) x1

No. 2
# K2AgMoBr6
Theoretical XRD peak list, CuKα. Input: a structure optimized by DFT (PBE).

Principal peaks in the range 2θ = 5–70°, in order of rising 2θ:
| d/Å | Position (°2θ) | I (rel.) | hkl |
| --- | --- | --- | --- |
| 5.451 | 16.26 | 79.5 | 2 0 0 |
| 3.855 | 23.07 | 14.4 | 2 2 0 |
| 3.147 | 28.36 | 42.4 | 2 2 2 |
| 2.726 | 32.86 | 100.0 | 4 0 0 |
| 2.438 | 36.87 | 40.3 | 4 2 0 |
| 2.226 | 40.53 | 5.6 | 4 2 2 |
| 1.927 | 47.15 | 68.9 | 4 4 0 |
| 1.817 | 50.21 | 20.5 | 6 0 0 |
| 1.644 | 55.94 | 16.5 | 6 2 2 |
| 1.574 | 58.67 | 23.1 | 4 4 4 |
| 1.512 | 61.31 | 9.6 | 6 4 0 |
| 1.363 | 68.90 | 10.4 | 8 0 0 |

Atomic structure:
abc: 10.9029 10.9029 10.9029
angles: 90.00 90.00 90.00
Space group Fm-3m (No. 225)
Symmetry-distinct sites (fractional):
K (0.2500, 0.2500, 0.2500) x8
Ag (0.0000, 0.0000, 0.0000) x4
Mo (0.0000, 0.0000, 0.5000) x4
Br (0.0000, 0.0000, 0.2599) x24

No. 3
# K2NdAgBr6
Theoretical XRD peak list, CuKα. Input: a structure optimized by DFT (PBE).

Principal peaks in the range 2θ = 5–70°, in order of rising 2θ:
| d/Å | Position (°2θ) | I (rel.) | hkl |
| --- | --- | --- | --- |
| 5.730 | 15.46 | 89.7 | 2 0 0 |
| 4.052 | 21.94 | 21.7 | 2 2 0 |
| 3.308 | 26.95 | 29.2 | 2 2 2 |
| 2.865 | 31.22 | 100.0 | 4 0 0 |
| 2.563 | 35.01 | 48.9 | 4 2 0 |
| 2.026 | 44.73 | 71.7 | 4 4 0 |
| 1.910 | 47.61 | 25.8 | 6 0 0 |
| 1.728 | 53.00 | 12.0 | 6 2 2 |
| 1.654 | 55.56 | 24.6 | 4 4 4 |
| 1.589 | 58.03 | 11.4 | 6 4 0 |
| 1.433 | 65.11 | 11.3 | 8 0 0 |
| 1.390 | 67.38 | 14.6 | 8 2 0 |

Atomic structure:
abc: 11.4605 11.4605 11.4605
angles: 90.00 90.00 90.00
Space group Fm-3m (No. 225)
Symmetry-distinct sites (fractional):
K (0.2500, 0.2500, 0.2500) x8
Nd (0.0000, 0.0000, 0.0000) x4
Ag (0.0000, 0.0000, 0.5000) x4
Br (0.0000, 0.0000, 0.2509) x24

No. 4
# K2AgSbBr6
Theoretical XRD peak list, CuKα. Input: a structure optimized by DFT (PBE).

Principal peaks in the range 2θ = 5–70°, in order of rising 2θ:
| d/Å | Position (°2θ) | I (rel.) | hkl |
| --- | --- | --- | --- |
| 5.629 | 15.74 | 83.4 | 2 0 0 |
| 3.980 | 22.34 | 17.5 | 2 2 0 |
| 3.250 | 27.45 | 35.5 | 2 2 2 |
| 2.814 | 31.80 | 100.0 | 4 0 0 |
| 2.517 | 35.67 | 44.9 | 4 2 0 |
| 1.990 | 45.58 | 71.0 | 4 4 0 |
| 1.876 | 48.52 | 23.4 | 6 0 0 |
| 1.697 | 54.03 | 14.7 | 6 2 2 |
| 1.625 | 56.65 | 24.2 | 4 4 4 |
| 1.561 | 59.18 | 10.3 | 6 4 0 |
| 1.407 | 66.44 | 11.1 | 8 0 0 |
| 1.365 | 68.76 | 13.1 | 8 2 0 |

Atomic structure:
abc: 11.2574 11.2574 11.2574
angles: 90.00 90.00 90.00
Space group Fm-3m (No. 225)
Symmetry-distinct sites (fractional):
K (0.2500, 0.2500, 0.2500) x8
Ag (0.0000, 0.0000, 0.0000) x4
Sb (0.0000, 0.0000, 0.5000) x4
Br (0.0000, 0.0000, 0.2504) x24

No. 5
# K2TaAgBr6
Theoretical XRD peak list, CuKα. Input: a structure optimized by DFT (PBE).

Principal peaks in the range 2θ = 5–70°, in order of rising 2θ:
| d/Å | Position (°2θ) | I (rel.) | hkl |
| --- | --- | --- | --- |
| 6.321 | 14.01 | 11.5 | 1 1 1 |
| 5.474 | 16.19 | 100.0 | 2 0 0 |
| 3.871 | 22.97 | 28.6 | 2 2 0 |
| 3.161 | 28.24 | 20.7 | 2 2 2 |
| 2.737 | 32.72 | 96.6 | 4 0 0 |
| 2.448 | 36.71 | 52.4 | 4 2 0 |
| 2.235 | 40.36 | 12.3 | 4 2 2 |
| 1.935 | 46.94 | 67.6 | 4 4 0 |
| 1.825 | 49.98 | 27.2 | 6 0 0 |
| 1.580 | 58.40 | 22.8 | 4 4 4 |
| 1.518 | 61.03 | 12.6 | 6 4 0 |
| 1.369 | 68.57 | 10.4 | 8 0 0 |

Atomic structure:
abc: 10.9488 10.9488 10.9488
angles: 90.00 90.00 90.00
Space group Fm-3m (No. 225)
Symmetry-distinct sites (fractional):
K (0.2500, 0.2500, 0.2500) x8
Ta (0.0000, 0.0000, 0.0000) x4
Ag (0.0000, 0.0000, 0.5000) x4
Br (0.0000, 0.0000, 0.2406) x24

No. 6
# K2YAgBr6
Theoretical XRD peak list, CuKα. Input: a structure optimized by DFT (PBE).

Principal peaks in the range 2θ = 5–70°, in order of rising 2θ:
| d/Å | Position (°2θ) | I (rel.) | hkl |
| --- | --- | --- | --- |
| 5.639 | 15.71 | 74.3 | 2 0 0 |
| 3.988 | 22.29 | 12.4 | 2 2 0 |
| 3.256 | 27.39 | 45.2 | 2 2 2 |
| 2.820 | 31.73 | 100.0 | 4 0 0 |
| 2.522 | 35.60 | 39.5 | 4 2 0 |
| 1.994 | 45.49 | 70.8 | 4 4 0 |
| 1.880 | 48.42 | 20.5 | 6 0 0 |
| 1.700 | 53.92 | 18.9 | 6 2 2 |
| 1.628 | 56.53 | 24.1 | 4 4 4 |
| 1.564 | 59.06 | 9.1 | 6 4 0 |
| 1.410 | 66.30 | 11.0 | 8 0 0 |
| 1.368 | 68.62 | 11.5 | 6 4 4 |

Atomic structure:
abc: 11.2788 11.2788 11.2788
angles: 90.00 90.00 90.00
Space group Fm-3m (No. 225)
Symmetry-distinct sites (fractional):
K (0.2500, 0.2500, 0.2500) x8
Y (0.0000, 0.0000, 0.0000) x4
Ag (0.0000, 0.0000, 0.5000) x4
Br (0.0000, 0.0000, 0.2473) x24

No. 7
# Rb2NdAgBr6
Theoretical XRD peak list, CuKα. Input: a structure optimized by DFT (PBE).

Principal peaks in the range 2θ = 5–70°, in order of rising 2θ:
| d/Å | Position (°2θ) | I (rel.) | hkl |
| --- | --- | --- | --- |
| 5.750 | 15.41 | 39.8 | 2 0 0 |
| 4.066 | 21.86 | 40.0 | 2 2 0 |
| 3.320 | 26.86 | 38.9 | 2 2 2 |
| 2.875 | 31.11 | 100.0 | 4 0 0 |
| 2.571 | 34.89 | 21.1 | 4 2 0 |
| 2.347 | 38.35 | 18.7 | 4 2 2 |
| 2.033 | 44.57 | 72.4 | 4 4 0 |
| 1.917 | 47.44 | 11.0 | 6 0 0 |
| 1.734 | 52.81 | 16.9 | 6 2 2 |
| 1.660 | 55.35 | 25.1 | 4 4 4 |
| 1.537 | 60.22 | 9.8 | 6 4 2 |
| 1.437 | 64.87 | 11.6 | 8 0 0 |

Atomic structure:
abc: 11.4993 11.4993 11.4993
angles: 90.00 90.00 90.00
Space group Fm-3m (No. 225)
Symmetry-distinct sites (fractional):
Rb (0.2500, 0.2500, 0.2500) x8
Nd (0.0000, 0.0000, 0.0000) x4
Ag (0.0000, 0.0000, 0.5000) x4
Br (0.0000, 0.0000, 0.2505) x24

No. 8
# AgBrO4
Theoretical XRD peak list, CuKα. Input: a structure optimized by DFT (PBE).

Principal peaks in the range 2θ = 5–70°, in order of rising 2θ:
| d/Å | Position (°2θ) | I (rel.) | hkl |
| --- | --- | --- | --- |
| 3.274 | 27.23 | 22.1 | 0 0 4 |
| 3.197 | 27.90 | 100.0 | 1 1 2 |
| 2.591 | 34.62 | 18.2 | 2 0 0 |
| 2.441 | 36.81 | 2.7 | 1 1 4 |
| 2.282 | 39.49 | 3.3 | 1 2 1 |
| 2.047 | 44.25 | 2.7 | 2 1 3 |
| 2.032 | 44.60 | 27.9 | 2 0 4 |
| 1.875 | 48.55 | 19.3 | 1 1 6 |
| 1.832 | 49.77 | 9.7 | 2 2 0 |
| 1.599 | 57.66 | 11.7 | 2 2 4 |
| 1.590 | 58.03 | 22.2 | 3 1 2 |
| 1.384 | 67.70 | 9.1 | 2 0 8 |

Atomic structure:
abc: 5.1814 5.1814 13.0980
angles: 90.00 90.00 90.00
Space group I4_1/a (No. 88, origin choice 2)
Symmetry-distinct sites (fractional):
Ag (0.0000, 0.2500, 0.1250) x4
Br (0.0000, 0.2500, 0.6250) x4
O (0.1307, 0.0174, 0.6957) x16

Repeat the second record exactly.
# K2AgMoBr6
Theoretical XRD peak list, CuKα. Input: a structure optimized by DFT (PBE).

Principal peaks in the range 2θ = 5–70°, in order of rising 2θ:
| d/Å | Position (°2θ) | I (rel.) | hkl |
| --- | --- | --- | --- |
| 5.451 | 16.26 | 79.5 | 2 0 0 |
| 3.855 | 23.07 | 14.4 | 2 2 0 |
| 3.147 | 28.36 | 42.4 | 2 2 2 |
| 2.726 | 32.86 | 100.0 | 4 0 0 |
| 2.438 | 36.87 | 40.3 | 4 2 0 |
| 2.226 | 40.53 | 5.6 | 4 2 2 |
| 1.927 | 47.15 | 68.9 | 4 4 0 |
| 1.817 | 50.21 | 20.5 | 6 0 0 |
| 1.644 | 55.94 | 16.5 | 6 2 2 |
| 1.574 | 58.67 | 23.1 | 4 4 4 |
| 1.512 | 61.31 | 9.6 | 6 4 0 |
| 1.363 | 68.90 | 10.4 | 8 0 0 |

Atomic structure:
abc: 10.9029 10.9029 10.9029
angles: 90.00 90.00 90.00
Space group Fm-3m (No. 225)
Symmetry-distinct sites (fractional):
K (0.2500, 0.2500, 0.2500) x8
Ag (0.0000, 0.0000, 0.0000) x4
Mo (0.0000, 0.0000, 0.5000) x4
Br (0.0000, 0.0000, 0.2599) x24